For Np2Fe12Ge7, a crystal structure in Alexandria, relaxed with PBE gives the computed XRD peak list in this record (a wavelength of 1.5418 Å).
Lines closer than 0.1° are merged.

Peak list (6 most intense, 2θ = 10–80°, sorted by position)
32.3°, intensity 25
32.5°, intensity 18
37.5°, intensity 100
48.6°, intensity 20
50.7°, intensity 24
54.3°, intensity 19

Crystal structure
abc: 9.5361 9.5361 3.7468
angles: 90.00 90.00 120.00
Atoms (fractional coordinates):
Np: 0.0000 0.0000 0.0000
Np: 0.3333 0.6667 0.5000
Fe: 0.0354 0.2787 0.5000
Fe: 0.1139 0.7253 0.0000
Fe: 0.2434 0.9646 0.5000
Fe: 0.2747 0.3886 0.0000
Fe: 0.3795 0.1779 0.0000
Fe: 0.5517 0.4296 0.5000
Fe: 0.5704 0.1221 0.5000
Fe: 0.6114 0.8861 0.0000
Fe: 0.7213 0.7566 0.5000
Fe: 0.7984 0.6205 0.0000
Fe: 0.8221 0.2016 0.0000
Fe: 0.8779 0.4483 0.5000
Ge: 0.0643 0.4572 0.0000
Ge: 0.2579 0.2271 0.5000
Ge: 0.3930 0.9357 0.0000
Ge: 0.5428 0.6070 0.0000
Ge: 0.6667 0.3333 0.0000
Ge: 0.7729 0.0308 0.5000
Ge: 0.9692 0.7421 0.5000